No. 1
Theoretical X-ray diffraction stick pattern
Compound: K2ZnSnO4
Radiation: Cu Kα, 1.54184 Å
Structure: a structure optimized by DFT (GGA-PBE)

Cell and atoms:
```
16
Lattice="5.9219 0.0000 0.0000 0.0000 5.9219 0.0000 0.0000 0.0000 7.9576" Properties=species:S:1:pos:R:3 pbc="T T T"
K 0.0000 0.0000 0.0000
K 0.0000 2.9610 1.9894
K 2.9610 0.0000 5.9682
K 2.9610 2.9610 3.9788
Zn 0.0000 0.0000 3.9788
Zn 2.9610 2.9610 0.0000
Sn 0.0000 2.9610 5.9682
Sn 2.9610 0.0000 1.9894
O 0.8917 4.4063 4.9289
O 1.4453 2.0693 7.0075
O 1.5156 0.8917 3.0287
O 2.0693 4.4766 0.9501
O 3.8526 1.4453 0.9501
O 4.4063 5.0303 3.0287
O 4.4766 3.8526 7.0075
O 5.0303 1.5156 4.9289
```

Most intense lines, 15 to 90 degrees two-theta, most intense first:
31.00°, d 2.884, rel. 100; 18.68°, d 4.751, rel. 46; 54.13°, d 1.694, rel. 38; 30.18°, d 2.961, rel. 36; 55.66°, d 1.651, rel. 22; 43.21°, d 2.094, rel. 22; 35.73°, d 2.513, rel. 10; 48.58°, d 1.874, rel. 10; 64.63°, d 1.442, rel. 10; 87.50°, d 1.115, rel. 10

***

No. 2
Theoretical X-ray diffraction stick pattern
Compound: KSr2TaO5
Radiation: Cu Kα, 1.54184 Å
Structure: a structure optimized by DFT (GGA-PBE)

Cell and atoms:
```
9
Lattice="-2.0177 3.1265 5.8051 2.0177 -3.1265 5.8051 2.0177 3.1265 -5.8051" Properties=species:S:1:pos:R:3 pbc="T T T"
K 0.0000 0.0000 0.0000
Sr 2.0177 0.0000 3.2139
Sr 0.0000 3.1265 2.5911
Ta 0.0000 0.0000 5.8051
O 2.0177 1.7657 -1.4887
O 2.0177 1.7657 1.4887
O 0.0000 3.1265 0.0000
O 0.0000 1.3609 4.3164
O 0.0000 1.3609 7.2938
```

Most intense lines, 15 to 90 degrees two-theta, most intense first:
30.53°, d 2.928, rel. 100; 16.10°, d 5.505, rel. 64; 42.50°, d 2.127, rel. 27; 28.55°, d 3.127, rel. 27; 51.82°, d 1.764, rel. 23; 43.44°, d 2.083, rel. 18; 30.81°, d 2.903, rel. 17; 63.56°, d 1.464, rel. 15; 44.93°, d 2.018, rel. 14; 23.34°, d 3.812, rel. 14

***

No. 3
Theoretical X-ray diffraction stick pattern
Compound: K2SrTeO4
Radiation: Cu Kα, 1.54184 Å
Structure: a structure optimized by DFT (GGA-PBE)

Cell and atoms:
```
16
Lattice="-3.6610 3.9217 5.0843 3.6610 -3.9217 5.0843 3.6610 3.9217 -5.0843" Properties=species:S:1:pos:R:3 pbc="T T T"
K 0.2861 0.0000 2.5421
K 1.8305 1.9394 5.0843
K -0.2861 3.9217 2.5421
K -1.8305 1.9824 5.0843
Sr 5.4915 1.8935 0.0000
Sr 1.8305 2.0282 0.0000
Te 3.9700 0.0000 2.5421
Te 3.3519 3.9217 2.5421
O 3.6960 0.1957 0.3927
O 5.3037 -1.4141 2.5751
O 5.3037 1.4141 2.5092
O 3.6960 -0.1957 4.6916
O 3.6259 3.7260 0.3927
O 2.0183 2.5076 2.5092
O 2.0183 5.3359 2.5751
O -0.0350 0.1957 9.7758
```

Most intense lines, 15 to 90 degrees two-theta, most intense first:
33.49°, d 2.676, rel. 100; 28.75°, d 3.106, rel. 87; 49.45°, d 1.843, rel. 56; 30.08°, d 2.971, rel. 56; 35.31°, d 2.542, rel. 49; 28.30°, d 3.154, rel. 28; 56.21°, d 1.637, rel. 26; 27.25°, d 3.273, rel. 23; 46.31°, d 1.961, rel. 23; 58.52°, d 1.577, rel. 18